# KPd5Pb2
Theoretical X-ray diffraction stick pattern, Cu Kα (weighted mean of Kα1 and Kα2). Input: a DFT-relaxed cell (PBE, Alexandria).

a = 4.1281 Å, b = 7.6108 Å, c = 10.9846 Å
α = 90.00°, β = 90.00°, γ = 90.00°
Space group Immm (No. 71)
Unique sites:
K: 0.0000 0.0000 0.0000
Pd: 0.0000 0.1857 0.3697
Pd: 0.0000 0.5000 0.0000
Pb: 0.0000 0.5000 0.2499

Main lines, low angle first (2θ from 10° to 90°):
14.2 deg, d = 6.256 Å, intensity 575
16.1 deg, d = 5.492 Å, intensity 474
29.5 deg, d = 3.028 Å, intensity 632
32.7 deg, d = 2.739 Å, intensity 546
33.0 deg, d = 2.711 Å, intensity 547
40.5 deg, d = 2.227 Å, intensity 929
41.2 deg, d = 2.190 Å, intensity 1000
41.8 deg, d = 2.161 Å, intensity 895
43.9 deg, d = 2.064 Å, intensity 488
61.2 deg, d = 1.514 Å, intensity 537